UH10C4SN3O9: simulated X-ray diffraction stick pattern (Cu Kα X-rays), based on a structure optimized by DFT (PBE).
Neutral-atom scattering factors, no anomalous dispersion.

Main lines, in order of rising 2θ (2θ = 10–80°):
d 7.919, 2θ = 11.17°, I 24, (0 1 -1)
d 6.323, 2θ = 14.01°, I 36, (1 0 -1)
d 6.027, 2θ = 14.70°, I 72, (1 0 1)
d 5.863, 2θ = 15.11°, I 100, (1 1 -1)
d 5.740, 2θ = 15.44°, I 27, (1 -1 1)
d 4.850, 2θ = 18.29°, I 50, (0 1 -2)
d 4.250, 2θ = 20.90°, I 37, (2 0 0)
d 4.177, 2θ = 21.27°, I 27, (0 2 0)
d 3.882, 2θ = 22.91°, I 22, (1 0 2)
d 3.615, 2θ = 24.62°, I 22, (1 2 -2)
d 3.120, 2θ = 28.61°, I 39, (-1 2 1)
d 2.938, 2θ = 30.42°, I 26, (1 2 -3)

Crystal structure
```
data_UH10C4SN3O9
_chemical_formula_sum 'U2 H20 C8 S2 N6 O18'
_symmetry_space_group_name_H-M 'P -1'
_symmetry_Int_Tables_number 2
_cell_length_a 8.5104
_cell_length_b 9.1417
_cell_length_c 9.8069
_cell_angle_alpha 113.91
_cell_angle_beta 92.44
_cell_angle_gamma 90.40
loop_
_symmetry_equiv_pos_as_xyz
'x,y,z'
'-x,-y,-z'
loop_
_atom_site_label
_atom_site_type_symbol
_atom_site_fract_x
_atom_site_fract_y
_atom_site_fract_z
U1 U 0.2446 0.2796 0.1137
H1 H 0.0834 0.1026 0.6758
H2 H 0.1405 0.9178 0.5574
H3 H 0.1473 0.5244 0.7711
H4 H 0.2329 0.0130 0.7280
H5 H 0.2531 0.0872 0.5936
H6 H 0.2730 0.2116 0.4291
H7 H 0.2948 0.4107 0.6716
H8 H 0.2994 0.4790 0.8604
H9 H 0.3304 0.6105 0.7822
H10 H 0.4448 0.2345 0.5066
C1 C 0.1227 0.6275 0.3494
C2 C 0.1248 0.8041 0.0864
C3 C 0.3007 0.6279 0.3917
C4 C 0.4428 0.9494 0.9343
S1 S 0.2964 0.8095 0.1614
N1 N 0.0040 0.2019 0.9702
N2 N 0.1779 0.0297 0.6396
N3 N 0.2685 0.5084 0.7713
O1 O 0.0420 0.7466 0.4159
O2 O 0.0715 0.4953 0.2430
O3 O 0.1868 0.1940 0.2429
O4 O 0.3078 0.3648 0.9853
O5 O 0.3170 0.0164 0.9187
O6 O 0.3297 0.2278 0.5241
O7 O 0.3624 0.7468 0.4963
O8 O 0.3695 0.4988 0.3101
O9 O 0.4841 0.8093 0.8529
```